For PrHg6Pd12, the PBE geometry in Alexandria gives the computed powder diffraction line list in this record (Cu Kα).

Main lines, in order of rising 2θ (2θ = 15–90°):
- 24.6 deg, rel. 50.3
- 32.4 deg, rel. 36.7
- 38.8 deg, rel. 100.0
- 40.0 deg, rel. 83.5
- 42.8 deg, rel. 67.2
- 44.4 deg, rel. 73.2
- 48.0 deg, rel. 39.3
- 76.8 deg, rel. 37.2

Crystal structure
```
data_PrHg6Pd12
_chemical_formula_sum 'Pr1 Hg6 Pd12'
_symmetry_space_group_name_H-M 'P 1'
_symmetry_Int_Tables_number 1
_cell_length_a 7.5930
_cell_length_b 7.5930
_cell_length_c 7.5930
_cell_angle_alpha 105.85
_cell_angle_beta 105.85
_cell_angle_gamma 105.85
loop_
_symmetry_equiv_pos_as_xyz
'x,y,z'
loop_
_atom_site_label
_atom_site_type_symbol
_atom_site_fract_x
_atom_site_fract_y
_atom_site_fract_z
_atom_site_occupancy
Pr1 Pr 0.0000 0.0000 0.0000 1
Hg1 Hg 0.2963 0.2963 0.7009 1
Hg2 Hg 0.2963 0.7009 0.2963 1
Hg3 Hg 0.2991 0.7037 0.7037 1
Hg4 Hg 0.7009 0.2963 0.2963 1
Hg5 Hg 0.7037 0.2991 0.7037 1
Hg6 Hg 0.7037 0.7037 0.2991 1
Pd1 Pd 0.1118 0.3499 0.3499 1
Pd2 Pd 0.1121 0.5000 0.8879 1
Pd3 Pd 0.1121 0.8879 0.5000 1
Pd4 Pd 0.3499 0.1118 0.3499 1
Pd5 Pd 0.3499 0.3499 0.1118 1
Pd6 Pd 0.5000 0.1121 0.8879 1
Pd7 Pd 0.5000 0.8879 0.1121 1
Pd8 Pd 0.6501 0.6501 0.8882 1
Pd9 Pd 0.6501 0.8882 0.6501 1
Pd10 Pd 0.8879 0.1121 0.5000 1
Pd11 Pd 0.8879 0.5000 0.1121 1
Pd12 Pd 0.8882 0.6501 0.6501 1
```